(1)
For BeHg2Pb, the GGA-PBE geometry in Alexandria gives the theoretical powder X-ray diffraction pattern in this record (λ = 1.5418 Å (Cu Kα)).
Kinematic intensities with the Lorentz-polarization factor, no thermal factor.

Peak list (10 most intense, 2θ from 10° to 90°, in order of rising 2θ)
- 28.73°, intensity 100.0
- 31.60°, intensity 26.5
- 32.07°, intensity 22.1
- 32.23°, intensity 11.2
- 38.15°, intensity 19.0
- 39.43°, intensity 16.7
- 40.25°, intensity 27.7
- 41.91°, intensity 19.4
- 59.49°, intensity 13.1
- 66.19°, intensity 8.9

Crystal structure
```
data_BeHg2Pb
_chemical_formula_sum 'Be1 Hg2 Pb1'
_space_group_name_H-M_alt 'P 1'
_space_group_IT_number 1
_cell_length_a 3.231
_cell_length_b 4.427
_cell_length_c 7.065
_cell_angle_alpha 72.39
_cell_angle_beta 88.88
_cell_angle_gamma 76.90
loop_
_space_group_symop_operation_xyz
'x,y,z'
loop_
_atom_site_label
_atom_site_fract_x
_atom_site_fract_y
_atom_site_fract_z
Be1 0.000 0.000 0.000
Hg1 0.402 0.429 0.067
Hg2 0.486 0.103 0.710
Pb1 0.988 0.769 0.406
```



(2)
For TaTiIrOs, the GGA-PBE geometry in Alexandria gives the theoretical powder X-ray diffraction pattern in this record (λ = 1.5418 Å (Cu Kα)).
Kinematic intensities with the Lorentz-polarization factor, no thermal factor.

Peak list (10 most intense, 2θ from 10° to 90°, in order of rising 2θ)
- 24.56°, intensity 16.1
- 29.77°, intensity 6.5
- 39.63°, intensity 100.0
- 42.60°, intensity 40.8
- 49.79°, intensity 5.2
- 52.50°, intensity 11.1
- 61.83°, intensity 13.6
- 69.83°, intensity 18.9
- 75.98°, intensity 29.9
- 85.36°, intensity 11.3

Crystal structure
```
data_TaTiIrOs
_chemical_formula_sum 'Ta2 Ti2 Ir2 Os2'
_space_group_name_H-M_alt 'I -4 m 2'
_space_group_IT_number 119
_space_group_name_Hall 'I -4 -2'
_cell_length_a 4.244
_cell_length_b 4.244
_cell_length_c 6.973
_cell_angle_alpha 90.00
_cell_angle_beta 90.00
_cell_angle_gamma 90.00
loop_
_atom_site_label
_atom_site_fract_x
_atom_site_fract_y
_atom_site_fract_z
Ta1 0.000 0.000 0.000
Ti1 0.000 0.000 0.500
Ir1 0.000 0.500 0.250
Os1 0.000 0.500 0.750
```



(3)
For DyYFe10, the GGA-PBE geometry in Alexandria gives the theoretical powder X-ray diffraction pattern in this record (λ = 1.5418 Å (Cu Kα)).
Kinematic intensities with the Lorentz-polarization factor, no thermal factor.

Peak list (10 most intense, 2θ from 10° to 90°, in order of rising 2θ)
- 30.67°, intensity 43.7
- 35.99°, intensity 20.5
- 41.72°, intensity 23.5
- 41.84°, intensity 11.5
- 42.85°, intensity 100.0
- 46.02°, intensity 25.9
- 59.74°, intensity 13.5
- 63.87°, intensity 18.7
- 69.32°, intensity 14.7
- 83.03°, intensity 10.5

Crystal structure
```
data_DyYFe10
_chemical_formula_sum 'Dy1 Y1 Fe10'
_space_group_name_H-M_alt 'P m m m'
_space_group_IT_number 47
_cell_length_a 3.945
_cell_length_b 5.005
_cell_length_c 8.636
_cell_angle_alpha 90.00
_cell_angle_beta 90.00
_cell_angle_gamma 90.00
loop_
_space_group_symop_operation_xyz
'x,y,z'
'-x,-y,-z'
'-x,-y,z'
'x,y,-z'
'x,-y,-z'
'-x,y,z'
'-x,y,-z'
'x,-y,z'
loop_
_atom_site_label
_atom_site_fract_x
_atom_site_fract_y
_atom_site_fract_z
Dy1 0.000 0.000 0.000
Y1 0.000 0.500 0.500
Fe1 0.000 0.000 0.333
Fe2 0.000 0.500 0.166
Fe3 0.500 0.000 0.500
Fe4 0.500 0.250 0.250
Fe5 0.500 0.500 0.000
```



(4)
For NaNd3PtO7, the GGA-PBE geometry in Alexandria gives the theoretical powder X-ray diffraction pattern in this record (λ = 1.5418 Å (Cu Kα)).
Kinematic intensities with the Lorentz-polarization factor, no thermal factor.

Peak list (10 most intense, 2θ from 10° to 90°, in order of rising 2θ)
- 15.23°, intensity 27.5
- 18.27°, intensity 11.2
- 20.25°, intensity 15.5
- 30.32°, intensity 35.5
- 31.11°, intensity 100.0
- 31.49°, intensity 21.2
- 44.28°, intensity 23.4
- 45.20°, intensity 9.8
- 54.36°, intensity 23.9
- 55.88°, intensity 15.9

Crystal structure
```
data_NaNd3PtO7
_chemical_formula_sum 'Na4 Nd12 Pt4 O28'
_space_group_name_H-M_alt 'C 1 c 1'
_space_group_IT_number 9
_cell_length_a 9.871
_cell_length_b 5.896
_cell_length_c 12.072
_cell_angle_alpha 90.00
_cell_angle_beta 105.43
_cell_angle_gamma 90.00
loop_
_space_group_symop_operation_xyz
'x,y,z'
'x,-y,z+1/2'
'x+1/2,y+1/2,z'
'x+1/2,-y+1/2,z+1/2'
loop_
_atom_site_label
_atom_site_fract_x
_atom_site_fract_y
_atom_site_fract_z
Na1 0.000 0.218 0.000
Nd1 0.165 0.254 0.516
Nd2 0.299 0.256 0.828
Nd3 0.420 0.255 0.198
Pt1 0.104 0.247 0.254
O1 0.019 0.465 0.352
O2 0.102 0.037 0.856
O3 0.119 0.471 0.662
O4 0.201 0.044 0.158
O5 0.296 0.330 0.357
O6 0.397 0.329 0.665
O7 0.426 0.303 0.012
```



(5)
For KGaCl3, the GGA-PBE geometry in Alexandria gives the theoretical powder X-ray diffraction pattern in this record (λ = 1.5418 Å (Cu Kα)).
Kinematic intensities with the Lorentz-polarization factor, no thermal factor.

Peak list (10 most intense, 2θ from 10° to 90°, in order of rising 2θ)
- 12.63°, intensity 20.8
- 13.77°, intensity 100.0
- 14.56°, intensity 38.5
- 18.70°, intensity 49.5
- 23.19°, intensity 43.0
- 25.99°, intensity 77.7
- 27.75°, intensity 23.9
- 28.03°, intensity 50.4
- 33.23°, intensity 30.1
- 44.21°, intensity 23.9

Crystal structure
```
data_KGaCl3
_chemical_formula_sum 'K4 Ga4 Cl12'
_space_group_name_H-M_alt 'P 1 21/c 1'
_space_group_IT_number 14
_cell_length_a 7.778
_cell_length_b 7.571
_cell_length_c 13.508
_cell_angle_alpha 90.00
_cell_angle_beta 115.66
_cell_angle_gamma 90.00
loop_
_space_group_symop_operation_xyz
'x,y,z'
'-x,-y,-z'
'-x,y+1/2,-z+1/2'
'x,-y+1/2,z+1/2'
loop_
_atom_site_label
_atom_site_fract_x
_atom_site_fract_y
_atom_site_fract_z
K1 0.214 0.088 0.192
Ga1 0.373 0.594 0.437
Cl1 0.157 0.039 0.782
Cl2 0.187 0.713 0.510
Cl3 0.491 0.683 0.872
```



(6)
For PrVSn, the GGA-PBE geometry in Alexandria gives the theoretical powder X-ray diffraction pattern in this record (λ = 1.5418 Å (Cu Kα)).
Kinematic intensities with the Lorentz-polarization factor, no thermal factor.

Peak list (10 most intense, 2θ from 10° to 90°, in order of rising 2θ)
- 25.23°, intensity 38.2
- 27.26°, intensity 50.4
- 29.73°, intensity 24.0
- 29.92°, intensity 22.6
- 30.30°, intensity 100.0
- 34.78°, intensity 28.4
- 35.44°, intensity 42.0
- 37.17°, intensity 57.0
- 44.45°, intensity 35.4
- 62.14°, intensity 20.6

Crystal structure
```
data_PrVSn
_chemical_formula_sum 'Pr2 V2 Sn2'
_space_group_name_H-M_alt 'P 1 21/m 1'
_space_group_IT_number 11
_cell_length_a 5.485
_cell_length_b 4.076
_cell_length_c 7.063
_cell_angle_alpha 90.00
_cell_angle_beta 91.56
_cell_angle_gamma 90.00
loop_
_space_group_symop_operation_xyz
'x,y,z'
'-x,-y,-z'
'-x,y+1/2,-z'
'x,-y+1/2,z'
loop_
_atom_site_label
_atom_site_fract_x
_atom_site_fract_y
_atom_site_fract_z
Pr1 0.111 0.250 0.247
V1 0.419 0.750 0.511
Sn1 0.372 0.250 0.825
```